# 1
Structure and simulated X-ray powder pattern of Na5SrNbP4 (a DFT-relaxed cell (PBE, Alexandria); CuKα).
Kinematic intensities with the Lorentz-polarization factor, no thermal factor.

Structure:
```
Na5SrNbP4
1.0
4.671 -8.080 0.000
4.671 8.080 0.000
-0.049 0.000 7.384
Na Sr Nb P
10 2 2 8
direct
0.033 0.967 0.500
0.036 0.572 0.502
0.217 0.358 0.346
0.358 0.217 0.846
0.373 0.651 0.837
0.572 0.036 0.002
0.651 0.373 0.337
0.659 0.796 0.316
0.796 0.659 0.816
0.967 0.033 0.000
0.444 0.974 0.507
0.974 0.444 0.007
0.174 0.845 0.113
0.845 0.174 0.613
0.123 0.315 0.725
0.174 0.836 0.787
0.312 0.697 0.219
0.315 0.123 0.225
0.696 0.890 0.708
0.697 0.312 0.719
0.836 0.174 0.287
0.890 0.696 0.208
```

Main lines, in order of rising 2θ (2θ = 10–90°):
2θ 10.95, intensity 100
2θ 16.23, intensity 72
2θ 26.53, intensity 17
2θ 31.63, intensity 45
2θ 31.74, intensity 45
2θ 32.75, intensity 17
2θ 32.90, intensity 39
2θ 38.15, intensity 19
2θ 38.24, intensity 15
2θ 38.58, intensity 58

---

# 2
Structure and simulated X-ray powder pattern of GdLuCu (a DFT-relaxed cell (PBE, Alexandria); CuKα).
Kinematic intensities with the Lorentz-polarization factor, no thermal factor.

Structure:
```
GdLuCu
1.0
3.454 0.000 0.000
0.000 3.454 0.000
0.000 0.000 12.206
Gd Lu Cu
2 2 2
direct
0.000 0.000 0.000
0.500 0.500 0.500
0.000 0.000 0.280
0.500 0.500 0.780
0.000 0.000 0.654
0.500 0.500 0.154
```

Main lines, in order of rising 2θ (2θ = 10–90°):
2θ 26.82, intensity 29
2θ 29.27, intensity 17
2θ 34.05, intensity 100
2θ 36.79, intensity 51
2θ 45.50, intensity 11
2θ 47.69, intensity 18
2θ 53.02, intensity 18
2θ 59.37, intensity 12
2θ 64.52, intensity 31
2θ 89.79, intensity 11

---

# 3
Structure and simulated X-ray powder pattern of SnSbPt (a DFT-relaxed cell (PBE, Alexandria); CuKα).
Kinematic intensities with the Lorentz-polarization factor, no thermal factor.

Structure:
```
SnSbPt
1.0
5.489 0.000 0.000
0.000 3.977 0.000
-0.190 0.000 6.680
Sn Sb Pt
2 2 2
direct
0.212 0.000 0.138
0.788 0.000 0.862
0.293 0.500 0.633
0.707 0.500 0.367
0.000 0.000 0.500
0.500 0.500 0.000
```

Main lines, in order of rising 2θ (2θ = 10–90°):
2θ 20.66, intensity 35
2θ 21.25, intensity 35
2θ 27.70, intensity 100
2θ 30.62, intensity 37
2θ 30.99, intensity 70
2θ 31.76, intensity 30
2θ 41.95, intensity 70
2θ 42.56, intensity 54
2θ 45.62, intensity 39
2θ 46.76, intensity 59

---

# 4
Structure and simulated X-ray powder pattern of Tm7CdTe2 (a DFT-relaxed cell (PBE, Alexandria); CuKα).
Kinematic intensities with the Lorentz-polarization factor, no thermal factor.

Structure:
```
Tm7CdTe2
1.0
4.383 -7.331 0.000
4.383 7.331 0.000
0.000 0.000 5.371
Tm Cd Te
7 1 2
direct
0.000 0.000 0.000
0.199 0.436 0.000
0.275 0.725 0.500
0.436 0.199 0.000
0.564 0.801 0.000
0.725 0.275 0.500
0.801 0.564 0.000
0.500 0.500 0.500
0.201 0.799 0.000
0.799 0.201 0.000
```

Main lines, in order of rising 2θ (2θ = 10–90°):
2θ 16.50, intensity 72
2θ 20.29, intensity 39
2θ 29.50, intensity 57
2θ 31.83, intensity 84
2θ 33.36, intensity 76
2θ 35.51, intensity 86
2θ 36.38, intensity 100
2θ 46.78, intensity 58
2θ 64.29, intensity 30
2θ 68.18, intensity 30